[1]
Structure and simulated X-ray diffraction stick pattern of Li2Mn2CoO8 (a structure optimized by DFT (PBE+U); Cu Kα).
Kinematic intensities with the Lorentz-polarization factor, no thermal factor.

Cell and atoms:
Cell lengths 5.765, 5.765, 5.890 Å; angles 119.58, 119.58, 60.07 degrees
Fractional positions:
Li 0.126 0.126 0.373
Li 0.874 0.874 0.627
Mn 0.000 0.500 0.000
Mn 0.500 0.000 0.000
Co 0.500 0.500 0.000
O 0.245 0.245 0.202
O 0.251 0.709 0.198
O 0.262 0.262 0.787
O 0.291 0.749 0.802
O 0.709 0.251 0.198
O 0.738 0.738 0.213
O 0.749 0.291 0.802
O 0.755 0.755 0.798

Principal peaks in the range 10° ≤ 2θ ≤ 80°, in order of rising 2θ:
d/Å, Position (°2θ), Rel. int.
4.838, 18.3, 100.0
4.722, 18.8, 23.5
4.122, 21.6, 12.8
2.461, 36.5, 32.6
2.061, 43.9, 33.5
2.050, 44.2, 16.9
1.598, 57.7, 11.8
1.466, 63.5, 9.1
1.442, 64.6, 15.6
1.383, 67.8, 8.5

[2]
Structure and simulated X-ray diffraction stick pattern of Li4MnCo2O7 (a structure optimized by DFT (PBE+U); Cu Kα).
Kinematic intensities with the Lorentz-polarization factor, no thermal factor.

Cell and atoms:
Cell lengths 10.208, 10.208, 5.195 Å; angles 95.65, 95.65, 150.34 degrees
Fractional positions:
Li 0.000 0.000 0.000
Li 0.070 0.930 0.500
Li 0.214 0.786 0.500
Li 0.359 0.641 0.500
Li 0.500 0.500 0.500
Li 0.641 0.359 0.500
Li 0.786 0.214 0.500
Li 0.930 0.070 0.500
Mn 0.287 0.713 0.000
Mn 0.713 0.287 0.000
Co 0.140 0.860 0.000
Co 0.429 0.571 0.000
Co 0.571 0.429 0.000
Co 0.860 0.140 0.000
O 0.008 0.436 0.232
O 0.138 0.416 0.766
O 0.180 0.330 0.207
O 0.286 0.286 0.767
O 0.330 0.180 0.207
O 0.416 0.138 0.766
O 0.436 0.008 0.232
O 0.564 0.992 0.768
O 0.584 0.862 0.234
O 0.670 0.820 0.793
O 0.714 0.714 0.233
O 0.820 0.670 0.793
O 0.862 0.584 0.234
O 0.992 0.564 0.768

Principal peaks in the range 10° ≤ 2θ ≤ 80°, in order of rising 2θ:
d/Å, Position (°2θ), Rel. int.
4.795, 18.5, 100.0
2.592, 34.6, 18.4
2.434, 36.9, 22.5
2.364, 38.1, 7.1
2.168, 41.7, 33.0
2.018, 44.9, 51.1
1.903, 47.8, 9.6
1.563, 59.1, 9.5
1.480, 62.8, 16.0
1.474, 63.1, 15.3